Starting from a cell relaxed with GGA-PBE, the XRD peak list of Rb4LiPu3S8 was computed for Cu Ka.
Intensities are scaled so that the largest is 100.

Principal peaks in the range 2θ = 15–90°, by angle:
d = 3.792 Å, intensity 26; d = 3.389 Å, intensity 50; d = 3.012 Å, intensity 100; d = 2.220 Å, intensity 36; d = 2.050 Å, intensity 35; d = 1.916 Å, intensity 17; d = 1.803 Å, intensity 22; d = 1.694 Å, intensity 18; d = 1.506 Å, intensity 11; d = 1.392 Å, intensity 14; d = 1.306 Å, intensity 15; d = 1.214 Å, intensity 11

Structure:
Lattice parameters (Å, degrees): 8.9401 8.9401 8.9401 54.59 54.59 54.59
Positions (direct):
Rb1 0.0000 0.0000 0.0000
Rb2 0.0000 0.5000 0.5000
Rb3 0.5000 0.0000 0.5000
Rb4 0.5000 0.5000 0.0000
Li1 0.5000 0.5000 0.5000
Pu1 0.0000 0.0000 0.5000
Pu2 0.0000 0.5000 0.0000
Pu3 0.5000 0.0000 0.0000
S1 0.2156 0.7347 0.7347
S2 0.2303 0.2303 0.2303
S3 0.2653 0.2653 0.7844
S4 0.2653 0.7844 0.2653
S5 0.7347 0.2156 0.7347
S6 0.7347 0.7347 0.2156
S7 0.7697 0.7697 0.7697
S8 0.7844 0.2653 0.2653